Record 1
For Ce4PmBi6, a cell relaxed with GGA-PBE gives the theoretical XRD peak list in this record (Cu Kα X-rays).
Intensities are scaled so that the largest is 100.

Crystal structure
Cell lengths 9.0235, 9.0235, 9.0235 Å; angles 88.70, 88.70, 88.70 degrees
Element x y z (fractional)
Ce1 0.1407 0.7500 0.3593
Ce2 0.2500 0.2500 0.2500
Ce3 0.2500 0.6407 0.8593
Ce4 0.3593 0.1407 0.7500
Ce5 0.6407 0.8593 0.2500
Ce6 0.7500 0.3593 0.1407
Ce7 0.7500 0.7500 0.7500
Ce8 0.8593 0.2500 0.6407
Pm1 0.0000 0.0000 0.0000
Pm2 0.5000 0.5000 0.5000
Bi1 0.0659 0.9203 0.6688
Bi2 0.0797 0.3312 0.9341
Bi3 0.1688 0.4203 0.5659
Bi4 0.3312 0.9341 0.0797
Bi5 0.4203 0.5659 0.1688
Bi6 0.4341 0.8312 0.5797
Bi7 0.5659 0.1688 0.4203
Bi8 0.5797 0.4341 0.8312
Bi9 0.6688 0.0659 0.9203
Bi10 0.8312 0.5797 0.4341
Bi11 0.9203 0.6688 0.0659
Bi12 0.9341 0.0797 0.3312

Peak list (6 most intense, 2θ = 15–90°, sorted by position)
- 27.66 deg, rel. 42
- 30.02 deg, rel. 100
- 31.15 deg, rel. 99
- 33.01 deg, rel. 91
- 37.73 deg, rel. 45
- 60.42 deg, rel. 35

Record 2
For CePm2YBi5, a cell relaxed with GGA-PBE gives the theoretical XRD peak list in this record (Cu Kα X-rays).
Intensities are scaled so that the largest is 100.

Crystal structure
Cell lengths 5.5689, 5.5689, 11.8853 Å; angles 90.00, 90.00, 90.00 degrees
Element x y z (fractional)
Ce1 0.0000 0.0000 0.0000
Pm1 0.5000 0.5000 0.2252
Pm2 0.5000 0.5000 0.7748
Y1 0.0000 0.0000 0.5000
Bi1 0.0000 0.0000 0.2549
Bi2 0.0000 0.0000 0.7451
Bi3 0.0000 0.5000 0.0000
Bi4 0.5000 0.0000 0.0000
Bi5 0.5000 0.5000 0.5000

Peak list (6 most intense, 2θ = 15–90°, sorted by position)
- 22.58 deg, rel. 39
- 23.80 deg, rel. 37
- 27.17 deg, rel. 41
- 30.08 deg, rel. 40
- 32.12 deg, rel. 100
- 44.59 deg, rel. 60

Record 3
For Ce2PrBi4, a cell relaxed with GGA-PBE gives the theoretical XRD peak list in this record (Cu Kα X-rays).
Intensities are scaled so that the largest is 100.

Crystal structure
Cell lengths 8.3306, 8.3306, 8.3306 Å; angles 109.50, 109.50, 109.41 degrees
Element x y z (fractional)
Ce1 0.0023 0.6250 0.8773
Ce2 0.3750 0.2523 0.3773
Ce3 0.7477 0.1250 0.1227
Ce4 0.8750 0.9977 0.6227
Pr1 0.2500 0.7500 0.5000
Pr2 0.5000 0.5000 0.0000
Bi1 0.1191 0.3686 0.0878
Bi2 0.1186 0.3691 0.5878
Bi3 0.2808 0.0313 0.9122
Bi4 0.4692 0.8814 0.2505
Bi5 0.6309 0.2187 0.7495
Bi6 0.6314 0.7192 0.7505
Bi7 0.7813 0.5308 0.4122
Bi8 0.9687 0.8809 0.2495

Peak list (6 most intense, 2θ = 15–90°, sorted by position)
- 29.36 deg, rel. 100
- 34.90 deg, rel. 85
- 46.23 deg, rel. 25
- 48.24 deg, rel. 22
- 59.21 deg, rel. 29
- 62.58 deg, rel. 18

Record 4
For Ce2Pr5Bi4, a cell relaxed with GGA-PBE gives the theoretical XRD peak list in this record (Cu Kα X-rays).
Intensities are scaled so that the largest is 100.

Crystal structure
Cell lengths 12.5341, 12.5341, 7.7734 Å; angles 97.45, 97.45, 20.05 degrees
Element x y z (fractional)
Ce1 0.2428 0.2428 0.3923
Ce2 0.7572 0.7572 0.6077
Pr1 0.0000 0.0000 0.5000
Pr2 0.3293 0.3293 0.9643
Pr3 0.3608 0.3608 0.4504
Pr4 0.6392 0.6392 0.5496
Pr5 0.6707 0.6707 0.0357
Bi1 0.1081 0.1081 0.2485
Bi2 0.4515 0.4515 0.1967
Bi3 0.5485 0.5485 0.8033
Bi4 0.8919 0.8919 0.7515

Peak list (6 most intense, 2θ = 15–90°, sorted by position)
- 23.94 deg, rel. 68
- 29.98 deg, rel. 66
- 30.75 deg, rel. 63
- 31.83 deg, rel. 100
- 39.03 deg, rel. 53
- 41.37 deg, rel. 44

Record 5
For Ce2PrBi2, a cell relaxed with GGA-PBE gives the theoretical XRD peak list in this record (Cu Kα X-rays).
Intensities are scaled so that the largest is 100.

Crystal structure
Cell lengths 6.2144, 6.2510, 8.5784 Å; angles 90.00, 110.64, 90.00 degrees
Element x y z (fractional)
Ce1 0.0000 0.2306 0.0000
Ce2 0.0000 0.7694 0.0000
Ce3 0.5000 0.2694 0.0000
Ce4 0.5000 0.7306 0.0000
Pr1 0.0000 0.0000 0.5000
Pr2 0.5000 0.5000 0.5000
Bi1 0.0896 0.5000 0.7003
Bi2 0.4104 0.0000 0.2997
Bi3 0.5896 0.0000 0.7003
Bi4 0.9104 0.5000 0.2997

Peak list (6 most intense, 2θ = 15–90°, sorted by position)
- 20.91 deg, rel. 39
- 30.72 deg, rel. 100
- 34.43 deg, rel. 55
- 34.69 deg, rel. 42
- 36.42 deg, rel. 42
- 40.96 deg, rel. 66

Record 6
For CePrSc2Bi4, a cell relaxed with GGA-PBE gives the theoretical XRD peak list in this record (Cu Kα X-rays).
Intensities are scaled so that the largest is 100.

Crystal structure
Cell lengths 7.6600, 4.4578, 7.7238 Å; angles 90.00, 109.57, 90.00 degrees
Element x y z (fractional)
Ce1 0.0000 0.0000 0.0000
Pr1 0.0000 0.5000 0.5000
Sc1 0.5000 0.0000 0.5000
Sc2 0.5000 0.5000 0.0000
Bi1 0.2726 0.5000 0.2557
Bi2 0.2737 0.0000 0.7601
Bi3 0.7263 0.0000 0.2399
Bi4 0.7274 0.5000 0.7443

Peak list (6 most intense, 2θ = 15–90°, sorted by position)
- 24.48 deg, rel. 20
- 28.39 deg, rel. 100
- 40.46 deg, rel. 40
- 40.71 deg, rel. 36
- 50.17 deg, rel. 21
- 66.34 deg, rel. 18

Record 7
For CePr2SmBi5, a cell relaxed with GGA-PBE gives the theoretical XRD peak list in this record (Cu Kα X-rays).
Intensities are scaled so that the largest is 100.

Crystal structure
Cell lengths 5.5204, 5.5204, 12.1123 Å; angles 90.00, 90.00, 90.00 degrees
Element x y z (fractional)
Ce1 0.0000 0.0000 0.0000
Pr1 0.5000 0.5000 0.2771
Pr2 0.5000 0.5000 0.7229
Sm1 0.0000 0.0000 0.5000
Bi1 0.0000 0.0000 0.2466
Bi2 0.0000 0.0000 0.7534
Bi3 0.0000 0.5000 0.5000
Bi4 0.5000 0.0000 0.5000
Bi5 0.5000 0.5000 0.0000

Peak list (6 most intense, 2θ = 15–90°, sorted by position)
- 22.78 deg, rel. 57
- 23.95 deg, rel. 53
- 27.18 deg, rel. 43
- 29.50 deg, rel. 59
- 32.44 deg, rel. 100
- 44.41 deg, rel. 79

Record 8
For Tb2CePrBi4, a cell relaxed with GGA-PBE gives the theoretical XRD peak list in this record (Cu Kα X-rays).
Intensities are scaled so that the largest is 100.

Crystal structure
Cell lengths 7.8860, 4.5572, 7.8988 Å; angles 90.00, 109.43, 90.00 degrees
Element x y z (fractional)
Tb1 0.0000 0.0000 0.0000
Tb2 0.0000 0.5000 0.5000
Ce1 0.5000 0.0000 0.5000
Pr1 0.5000 0.5000 0.0000
Bi1 0.2422 0.0000 0.7451
Bi2 0.2433 0.5000 0.2497
Bi3 0.7567 0.5000 0.7503
Bi4 0.7578 0.0000 0.2549

Peak list (6 most intense, 2θ = 15–90°, sorted by position)
- 27.68 deg, rel. 100
- 39.55 deg, rel. 78
- 48.96 deg, rel. 29
- 57.17 deg, rel. 14
- 64.68 deg, rel. 37
- 71.73 deg, rel. 21

Record 9
For Ce8Pu2Bi, a cell relaxed with GGA-PBE gives the theoretical XRD peak list in this record (Cu Kα X-rays).
Intensities are scaled so that the largest is 100.

Crystal structure
Cell lengths 6.0822, 6.1249, 9.0515 Å; angles 73.46, 77.39, 67.89 degrees
Element x y z (fractional)
Ce1 0.0000 0.0000 0.0000
Ce2 0.0031 0.5956 0.7923
Ce3 0.3914 0.7942 0.5948
Ce4 0.4031 0.4039 0.3878
Ce5 0.4393 0.9807 0.2104
Ce6 0.4684 0.5545 0.9955
Ce7 0.5440 0.1293 0.7877
Ce8 0.9258 0.4674 0.2175
Pu1 0.0715 0.2418 0.5726
Pu2 0.7219 0.7882 0.0026
Bi1 0.9067 0.8907 0.4190

Peak list (6 most intense, 2θ = 15–90°, sorted by position)
- 31.05 deg, rel. 85
- 31.70 deg, rel. 70
- 31.78 deg, rel. 67
- 34.60 deg, rel. 98
- 35.47 deg, rel. 100
- 39.83 deg, rel. 47

Record 10
For CePuBi6, a cell relaxed with GGA-PBE gives the theoretical XRD peak list in this record (Cu Kα X-rays).
Intensities are scaled so that the largest is 100.

Crystal structure
Cell lengths 24.5558, 4.6299, 4.6303 Å; angles 90.00, 100.81, 90.00 degrees
Element x y z (fractional)
Ce1 0.0000 0.0000 0.0000
Ce2 0.5000 0.5000 0.0000
Pu1 0.3497 0.0000 0.3456
Pu2 0.8497 0.5000 0.3456
Bi1 0.1077 0.0000 0.6074
Bi2 0.1077 0.5000 0.1082
Bi3 0.2436 0.0000 0.7394
Bi4 0.2436 0.5000 0.2383
Bi5 0.3646 0.5000 0.8606
Bi6 0.4832 0.0000 0.4833
Bi7 0.6077 0.0000 0.1082
Bi8 0.6077 0.5000 0.6074
Bi9 0.7436 0.0000 0.2383
Bi10 0.7436 0.5000 0.7394
Bi11 0.8646 0.0000 0.8606
Bi12 0.9832 0.5000 0.4833

Peak list (6 most intense, 2θ = 15–90°, sorted by position)
- 28.24 deg, rel. 100
- 29.63 deg, rel. 44
- 35.36 deg, rel. 83
- 38.90 deg, rel. 52
- 49.65 deg, rel. 44
- 68.16 deg, rel. 26

Record 11
For Ce2TmPuBi4, a cell relaxed with GGA-PBE gives the theoretical XRD peak list in this record (Cu Kα X-rays).
Intensities are scaled so that the largest is 100.

Crystal structure
Cell lengths 7.8317, 4.5543, 7.8940 Å; angles 90.00, 109.57, 90.00 degrees
Element x y z (fractional)
Ce1 0.0000 0.0000 0.0000
Ce2 0.0000 0.5000 0.5000
Tm1 0.5000 0.0000 0.5000
Pu1 0.5000 0.5000 0.0000
Bi1 0.2543 0.0000 0.7479
Bi2 0.2567 0.5000 0.2559
Bi3 0.7433 0.5000 0.7441
Bi4 0.7457 0.0000 0.2521

Peak list (6 most intense, 2θ = 15–90°, sorted by position)
- 27.77 deg, rel. 100
- 39.56 deg, rel. 40
- 39.79 deg, rel. 39
- 49.02 deg, rel. 22
- 64.74 deg, rel. 19
- 65.06 deg, rel. 19

Record 12
For Ce2BiRh2, a cell relaxed with GGA-PBE gives the theoretical XRD peak list in this record (Cu Kα X-rays).
Intensities are scaled so that the largest is 100.

Crystal structure
Cell lengths 7.7701, 7.7701, 3.7114 Å; angles 90.00, 90.00, 90.00 degrees
Element x y z (fractional)
Ce1 0.1732 0.3268 0.0000
Ce2 0.3268 0.8268 0.0000
Ce3 0.6732 0.1732 0.0000
Ce4 0.8268 0.6732 0.0000
Bi1 0.0000 0.0000 0.5000
Bi2 0.5000 0.5000 0.5000
Rh1 0.1309 0.6309 0.5000
Rh2 0.3691 0.1309 0.5000
Rh3 0.6309 0.8691 0.5000
Rh4 0.8691 0.3691 0.5000

Peak list (6 most intense, 2θ = 15–90°, sorted by position)
- 32.59 deg, rel. 22
- 33.39 deg, rel. 56
- 35.39 deg, rel. 100
- 36.57 deg, rel. 72
- 49.09 deg, rel. 19
- 62.74 deg, rel. 30